Entry 1:
Structure and calculated X-ray diffraction stick pattern of CeRe2B (a PBE-relaxed structure; Cu Kα, 1.54184 Å).

Structural model:
a b c (Å): 4.7591 4.7591 10.1300
angles (deg): 90.00 90.00 120.00
Space group R-3m (No. 166, hexagonal axes)
One atom of each set of equivalent atoms:
Ce  0.0000  0.0000  0.0000 (multiplicity 3)
Re  0.0000  0.0000  0.2935 (multiplicity 6)
B  0.0000  0.0000  0.5000 (multiplicity 3)

Main lines, in order of rising 2θ (10° ≤ 2θ ≤ 90°):
- 26.40°, I = 51, (0 0 3)
- 27.91°, I = 23, (0 1 2)
- 37.81°, I = 100, (1 1 0)
- 41.87°, I = 28, (1 0 4)
- 46.70°, I = 67, (1 1 3)
- 68.27°, I = 18, (3 0 0)
- 68.75°, I = 15, (1 0 7)
- 71.04°, I = 12, (2 1 4)
- 74.57°, I = 17, (3 0 3)
- 86.79°, I = 12, (2 2 3)


Entry 2:
Structure and calculated X-ray diffraction stick pattern of AcYLuAl (a PBE-relaxed structure; Cu Kα, 1.54184 Å).

Structural model:
a b c (Å): 7.7647 7.7647 7.7647
angles (deg): 90.00 90.00 90.00
Space group F-43m (No. 216)
One atom of each set of equivalent atoms:
Ac  0.0000  0.0000  0.0000 (multiplicity 4)
Y  0.2500  0.2500  0.7500 (multiplicity 4)
Lu  0.2500  0.2500  0.2500 (multiplicity 4)
Al  0.0000  0.0000  0.5000 (multiplicity 4)

Main lines, in order of rising 2θ (10° ≤ 2θ ≤ 90°):
- 19.80°, I = 37, (1 1 1)
- 32.62°, I = 100, (2 2 0)
- 38.45°, I = 22, (3 1 1)
- 46.80°, I = 18, (4 0 0)
- 51.29°, I = 10, (3 3 1)
- 58.21°, I = 39, (4 2 2)
- 62.11°, I = 8, (5 1 1)
- 68.34°, I = 12, (4 4 0)
- 71.94°, I = 7, (5 3 1)
- 77.80°, I = 17, (6 2 0)


Entry 3:
Structure and calculated X-ray diffraction stick pattern of Co13Pt3 (a PBE-relaxed structure; Cu Kα, 1.54184 Å).

Structural model:
a b c (Å): 5.1660 5.1660 8.2804
angles (deg): 90.00 90.00 120.00
Space group P-6m2 (No. 187)
One atom of each set of equivalent atoms:
Co  0.0000  0.0000  0.0000 (multiplicity 1)
Co  0.1577  0.3155  0.5000 (multiplicity 3)
Co  0.3232  0.1616  0.2441 (multiplicity 6)
Co  0.5065  0.0130  0.0000 (multiplicity 3)
Pt  0.3333  0.6667  0.2501 (multiplicity 2)
Pt  0.6667  0.3333  0.5000 (multiplicity 1)

Main lines, in order of rising 2θ (10° ≤ 2θ ≤ 90°):
- 19.85°, I = 15, (1 0 0)
- 29.39°, I = 40, (1 0 2)
- 34.73°, I = 15, (1 1 0)
- 41.83°, I = 34, (2 0 1)
- 43.73°, I = 32, (0 0 4)
- 46.12°, I = 100, (2 0 2)
- 52.67°, I = 17, (2 0 3)
- 73.30°, I = 19, (2 2 0)
- 82.05°, I = 17, (2 0 6)
- 89.43°, I = 23, (2 2 4)


Entry 4:
Structure and calculated X-ray diffraction stick pattern of Ti4Zn7Rh (a PBE-relaxed structure; Cu Kα, 1.54184 Å).

Structural model:
a b c (Å): 5.0100 5.1903 7.6647
angles (deg): 71.66 78.45 89.73
Space group P-1 (No. 2)
One atom of each set of equivalent atoms:
Ti  0.2163  0.0980  0.3072 (multiplicity 2)
Ti  0.2191  0.5957  0.3103 (multiplicity 2)
Zn  0.0000  0.5000  0.0000 (multiplicity 1)
Zn  0.2715  0.0123  0.9559 (multiplicity 2)
Zn  0.2900  0.6721  0.6622 (multiplicity 2)
Zn  0.2976  0.1934  0.6158 (multiplicity 2)
Rh  0.5000  0.5000  0.0000 (multiplicity 1)

Main lines, in order of rising 2θ (10° ≤ 2θ ≤ 90°):
- 34.58°, I = 50, (0 2 1)
- 36.69°, I = 35, (2 0 0)
- 37.94°, I = 100, (0 0 3)
- 39.95°, I = 52, (1 -2 0)
- 40.09°, I = 50, (2 0 2)
- 40.26°, I = 38, (1 2 2)
- 41.42°, I = 36, (2 0 -1)
- 42.18°, I = 38, (1 2 0)
- 42.58°, I = 27, (0 2 -1)
- 43.05°, I = 28, (-1 2 2)


Entry 5:
Structure and calculated X-ray diffraction stick pattern of K7Rb4 (a PBE-relaxed structure; Cu Kα, 1.54184 Å).

Structural model:
a b c (Å): 12.5113 12.5113 6.8588
angles (deg): 90.00 90.00 120.00
Space group P-6m2 (No. 187)
One atom of each set of equivalent atoms:
K  0.0000  0.0000  0.0000 (multiplicity 1)
K  0.0714  0.5357  0.0000 (multiplicity 3)
K  0.4076  0.2038  0.5000 (multiplicity 3)
Rb  0.1921  0.3842  0.5000 (multiplicity 3)
Rb  0.6667  0.3333  0.0000 (multiplicity 1)

Main lines, in order of rising 2θ (10° ≤ 2θ ≤ 90°):
- 16.36°, I = 36, (2 0 0)
- 19.20°, I = 48, (1 1 1)
- 20.90°, I = 81, (2 0 1)
- 21.70°, I = 38, (2 1 0)
- 25.33°, I = 100, (2 1 1)
- 25.98°, I = 42, (0 0 2)
- 27.92°, I = 39, (3 0 1)
- 28.54°, I = 44, (2 2 0)
- 38.97°, I = 37, (2 2 2)
- 43.81°, I = 30, (5 0 1)


Entry 6:
Structure and calculated X-ray diffraction stick pattern of TiHgCO5 (a PBE-relaxed structure; Cu Kα, 1.54184 Å).

Structural model:
a b c (Å): 6.6937 8.2252 7.2001
angles (deg): 90.00 117.01 90.00
Space group C2/c (No. 15)
One atom of each set of equivalent atoms:
Ti  0.0000  0.0000  0.0000 (multiplicity 4)
Hg  0.0000  0.3387  0.2500 (multiplicity 4)
C  0.0000  0.3147  0.7500 (multiplicity 4)
O  0.0000  0.0785  0.2500 (multiplicity 4)
O  0.0766  0.2197  0.6351 (multiplicity 8)
O  0.1742  0.4218  0.8882 (multiplicity 8)

Main lines, in order of rising 2θ (10° ≤ 2θ ≤ 90°):
- 18.50°, I = 100, (1 1 -1)
- 25.73°, I = 54, (0 2 1)
- 26.89°, I = 44, (1 1 1)
- 27.14°, I = 65, (1 1 -2)
- 27.82°, I = 34, (0 0 2)
- 29.97°, I = 66, (2 0 0)
- 30.27°, I = 29, (2 0 -2)
- 34.55°, I = 27, (2 2 -1)
- 36.06°, I = 62, (1 3 0)
- 39.31°, I = 32, (1 1 -3)


Entry 7:
Structure and calculated X-ray diffraction stick pattern of NdInGa (a PBE-relaxed structure; Cu Kα, 1.54184 Å).

Structural model:
a b c (Å): 4.7436 7.6948 8.1383
angles (deg): 90.00 90.00 90.00
Space group Imma (No. 74)
One atom of each set of equivalent atoms:
Nd  0.0000  0.0000  0.0000 (multiplicity 4)
In  0.0000  0.2500  0.3466 (multiplicity 4)
Ga  0.0000  0.2500  0.6816 (multiplicity 4)

Main lines, in order of rising 2θ (10° ≤ 2θ ≤ 90°):
- 31.90°, I = 100, (1 2 1)
- 32.01°, I = 46, (0 2 2)
- 37.94°, I = 30, (2 0 0)
- 38.22°, I = 56, (1 0 3)
- 47.25°, I = 16, (0 4 0)
- 50.46°, I = 25, (2 2 2)
- 50.76°, I = 14, (0 2 4)
- 62.13°, I = 14, (2 4 0)
- 62.33°, I = 26, (1 4 3)
- 65.09°, I = 13, (2 2 4)


Entry 8:
Structure and calculated X-ray diffraction stick pattern of CeTc2H8 (a PBE-relaxed structure; Cu Kα, 1.54184 Å).

Structural model:
a b c (Å): 4.7810 8.0392 4.5713
angles (deg): 90.00 92.43 90.00
Space group Cm (No. 8)
One atom of each set of equivalent atoms:
Ce  0.0000  0.0000  0.0000 (multiplicity 2)
Tc  0.4078  0.1607  0.5146 (multiplicity 4)
H  0.0275  0.5000  0.2551 (multiplicity 2)
H  0.0455  0.1222  0.4819 (multiplicity 4)
H  0.2343  0.2792  0.7740 (multiplicity 4)
H  0.2932  0.2494  0.1911 (multiplicity 4)
H  0.4818  0.0000  0.8060 (multiplicity 2)

Main lines, in order of rising 2θ (10° ≤ 2θ ≤ 90°):
- 21.64°, I = 22, (1 1 0)
- 28.70°, I = 100, (1 1 -1)
- 29.61°, I = 88, (0 2 1)
- 29.78°, I = 95, (1 1 1)
- 37.66°, I = 37, (2 0 0)
- 38.52°, I = 88, (1 3 0)
- 39.46°, I = 44, (0 0 2)
- 49.55°, I = 29, (0 4 1)
- 55.69°, I = 29, (1 3 -2)
- 56.96°, I = 42, (1 3 2)


Entry 9:
Structure and calculated X-ray diffraction stick pattern of NiOsRu (a PBE-relaxed structure; Cu Kα, 1.54184 Å).

Structural model:
a b c (Å): 4.5726 7.9018 4.5692
angles (deg): 90.00 107.30 90.00
Space group C2/c (No. 15)
One atom of each set of equivalent atoms:
Ni  0.0000  0.2490  0.2500 (multiplicity 4)
Os  0.0000  0.4194  0.7500 (multiplicity 4)
Ru  0.0000  0.0844  0.7500 (multiplicity 4)

Main lines, in order of rising 2θ (10° ≤ 2θ ≤ 90°):
- 22.50°, I = 13, (0 2 0)
- 23.28°, I = 18, (1 1 0)
- 26.71°, I = 15, (1 1 -1)
- 41.38°, I = 100, (2 0 0)
- 42.19°, I = 94, (1 3 -1)
- 48.18°, I = 64, (1 3 1)
- 49.52°, I = 30, (2 0 -2)
- 71.60°, I = 48, (3 3 -1)
- 84.65°, I = 25, (3 3 1)
- 86.27°, I = 24, (2 6 0)


Entry 10:
Structure and calculated X-ray diffraction stick pattern of Ce5SmS6 (a PBE-relaxed structure; Cu Kα, 1.54184 Å).

Structural model:
a b c (Å): 6.9575 12.0561 6.9592
angles (deg): 90.00 109.48 90.00
Space group C2/m (No. 12)
One atom of each set of equivalent atoms:
Ce  0.0000  0.0000  0.0000 (multiplicity 2)
Ce  0.0000  0.1666  0.5000 (multiplicity 4)
Ce  0.0000  0.3335  0.0000 (multiplicity 4)
Sm  0.0000  0.5000  0.5000 (multiplicity 2)
S  0.2492  0.3338  0.7490 (multiplicity 8)
S  0.2493  0.5000  0.2508 (multiplicity 4)

Main lines, in order of rising 2θ (10° ≤ 2θ ≤ 90°):
- 27.18°, I = 73, (2 0 0)
- 31.49°, I = 100, (1 3 1)
- 45.13°, I = 72, (2 0 2)
- 53.49°, I = 36, (3 3 1)
- 56.07°, I = 25, (4 0 0)
- 65.74°, I = 12, (2 6 2)
- 72.51°, I = 14, (4 0 2)
- 74.71°, I = 32, (4 6 0)
- 83.32°, I = 24, (5 3 1)
- 89.66°, I = 11, (4 6 2)


Entry 11:
Structure and calculated X-ray diffraction stick pattern of RbNb3O8 (a PBE-relaxed structure; Cu Kα, 1.54184 Å).

Structural model:
a b c (Å): 5.9515 5.9515 7.7335
angles (deg): 90.00 90.00 120.00
Space group P-3 (No. 147)
One atom of each set of equivalent atoms:
Rb  0.0000  0.0000  0.0000 (multiplicity 1)
Nb  0.0000  0.0000  0.5000 (multiplicity 1)
Nb  0.3333  0.6667  0.7286 (multiplicity 2)
O  0.1550  0.3139  0.6526 (multiplicity 6)
O  0.3333  0.6667  0.9586 (multiplicity 2)

Main lines, in order of rising 2θ (10° ≤ 2θ ≤ 90°):
- 17.20°, I = 17, (1 0 0)
- 20.71°, I = 100, (0 1 1)
- 28.87°, I = 73, (0 1 2)
- 30.03°, I = 71, (1 1 0)
- 42.14°, I = 31, (0 2 2)
- 48.17°, I = 21, (3 -2 1)
- 52.61°, I = 29, (3 -2 2)
- 53.32°, I = 13, (3 0 0)
- 56.79°, I = 23, (1 1 4)
- 62.41°, I = 13, (2 2 0)


Entry 12:
Structure and calculated X-ray diffraction stick pattern of B2Mo4Os (a PBE-relaxed structure; Cu Kα, 1.54184 Å).

Structural model:
a b c (Å): 4.2123 4.2123 19.1276
angles (deg): 90.00 90.00 120.00
Space group R-3m (No. 166, hexagonal axes)
One atom of each set of equivalent atoms:
B  0.0000  0.0000  0.1097 (multiplicity 6)
Mo  0.0000  0.0000  0.2217 (multiplicity 6)
Mo  0.0000  0.0000  0.3865 (multiplicity 6)
Os  0.0000  0.0000  0.0000 (multiplicity 3)

Main lines, in order of rising 2θ (10° ≤ 2θ ≤ 90°):
- 13.89°, I = 37, (0 0 3)
- 33.96°, I = 100, (0 1 5)
- 42.94°, I = 72, (1 1 0)
- 45.35°, I = 39, (0 1 8)
- 54.14°, I = 14, (1 0 10)
- 55.84°, I = 24, (2 0 5)
- 68.80°, I = 13, (1 0 13)
- 72.93°, I = 21, (1 2 5)
- 78.69°, I = 12, (3 0 0)
- 80.40°, I = 12, (1 2 8)


Copy entry 12 word for word.
Structure and calculated X-ray diffraction stick pattern of B2Mo4Os (a PBE-relaxed structure; Cu Kα, 1.54184 Å).

Structural model:
a b c (Å): 4.2123 4.2123 19.1276
angles (deg): 90.00 90.00 120.00
Space group R-3m (No. 166, hexagonal axes)
One atom of each set of equivalent atoms:
B  0.0000  0.0000  0.1097 (multiplicity 6)
Mo  0.0000  0.0000  0.2217 (multiplicity 6)
Mo  0.0000  0.0000  0.3865 (multiplicity 6)
Os  0.0000  0.0000  0.0000 (multiplicity 3)

Main lines, in order of rising 2θ (10° ≤ 2θ ≤ 90°):
- 13.89°, I = 37, (0 0 3)
- 33.96°, I = 100, (0 1 5)
- 42.94°, I = 72, (1 1 0)
- 45.35°, I = 39, (0 1 8)
- 54.14°, I = 14, (1 0 10)
- 55.84°, I = 24, (2 0 5)
- 68.80°, I = 13, (1 0 13)
- 72.93°, I = 21, (1 2 5)
- 78.69°, I = 12, (3 0 0)
- 80.40°, I = 12, (1 2 8)